Entry 1:
This entry pairs a crystal structure of PrMgAu with its computed powder X-ray diffraction pattern. Radiation: Cu Kα (weighted mean of Kα1 and Kα2). Structure: a DFT-relaxed cell (PBE, Alexandria).
Neutral-atom scattering factors, no anomalous dispersion.

Atomic structure:
a = 3.5580 Å, b = 3.5580 Å, c = 11.6892 Å
α = 90.00°, β = 90.00°, γ = 90.00°
Space group I4mm (No. 107)
Unique sites:
1 Pr 0.0000 0.0000 0.0000 (multiplicity 2)
2 Mg 0.0000 0.0000 0.7100 (multiplicity 2)
3 Au 0.0000 0.0000 0.3258 (multiplicity 2)

Main lines, in order of rising 2θ (5 to 70 degrees two-theta):
2θ (°)  I_rel  (hkl)
15.16  30  0 0 2
26.18  38  1 0 1
34.13  100  1 0 3
35.69  47  1 1 0
60.06  17  1 1 6
63.11  34  2 1 3

***

Entry 2:
This entry pairs a crystal structure of CsI2Cl2 with its computed powder X-ray diffraction pattern. Radiation: Cu Kα (weighted mean of Kα1 and Kα2). Structure: a DFT-relaxed cell (PBE, Alexandria).
Neutral-atom scattering factors, no anomalous dispersion.

Atomic structure:
a = 9.7969 Å, b = 9.7969 Å, c = 3.9729 Å
α = 90.00°, β = 90.00°, γ = 90.00°
Space group P4/mbm (No. 127)
Unique sites:
1 Cs 0.0000 0.0000 0.0000 (multiplicity 2)
2 I 0.0976 0.4024 0.0000 (multiplicity 4)
3 Cl 0.2277 0.7277 0.5000 (multiplicity 4)

Main lines, in order of rising 2θ (5 to 70 degrees two-theta):
2θ (°)  I_rel  (hkl)
22.38  54  0 0 1
28.82  44  3 1 0
28.94  100  2 0 1
30.37  53  2 1 1
32.96  52  3 2 0
52.92  63  5 1 1

***

Entry 3:
This entry pairs a crystal structure of Ho2Cd6In with its computed powder X-ray diffraction pattern. Radiation: Cu Kα (weighted mean of Kα1 and Kα2). Structure: a DFT-relaxed cell (PBE, Alexandria).
Neutral-atom scattering factors, no anomalous dispersion.

Atomic structure:
a = 8.7653 Å, b = 8.7653 Å, c = 9.8071 Å
α = 90.00°, β = 90.00°, γ = 120.00°
Space group R-3m (No. 166, hexagonal axes)
Unique sites:
1 Ho 0.0000 0.0000 0.1720 (multiplicity 6)
2 Cd 0.0000 0.3322 0.0000 (multiplicity 18)
3 In 0.0000 0.0000 0.5000 (multiplicity 3)

Main lines, in order of rising 2θ (5 to 70 degrees two-theta):
2θ (°)  I_rel  (hkl)
34.22  100  1 1 3
35.48  94  3 0 0
50.12  33  2 2 3
62.90  33  4 1 3
63.70  16  3 3 0
68.32  26  3 0 6

***

Entry 4:
This entry pairs a crystal structure of YTh3Pt3 with its computed powder X-ray diffraction pattern. Radiation: Cu Kα (weighted mean of Kα1 and Kα2). Structure: a DFT-relaxed cell (PBE, Alexandria).
Neutral-atom scattering factors, no anomalous dispersion.

Atomic structure:
a = 12.5600 Å, b = 4.0887 Å, c = 14.4253 Å
α = 90.00°, β = 90.00°, γ = 90.00°
Space group Pnma (No. 62)
Unique sites:
1 Y 0.0130 0.2500 0.1886 (multiplicity 4)
2 Th 0.0450 0.2500 0.6064 (multiplicity 4)
3 Th 0.1836 0.7500 0.0317 (multiplicity 4)
4 Th 0.2454 0.7500 0.3054 (multiplicity 4)
5 Pt 0.0613 0.2500 0.9364 (multiplicity 4)
6 Pt 0.1197 0.2500 0.4069 (multiplicity 4)
7 Pt 0.2078 0.7500 0.6661 (multiplicity 4)

Main lines, in order of rising 2θ (5 to 70 degrees two-theta):
2θ (°)  I_rel  (hkl)
29.55  81  1 1 3
32.08  36  2 1 3
33.05  55  3 1 2
35.94  59  3 1 3
36.09  100  4 1 0
44.31  61  0 2 0

***

Entry 5:
This entry pairs a crystal structure of Np3TlAg2S8 with its computed powder X-ray diffraction pattern. Radiation: Cu Kα (weighted mean of Kα1 and Kα2). Structure: a DFT-relaxed cell (PBE, Alexandria).
Neutral-atom scattering factors, no anomalous dispersion.

Atomic structure:
a = 8.2776 Å, b = 8.2776 Å, c = 18.1194 Å
α = 90.00°, β = 90.00°, γ = 120.00°
Space group R3m (No. 160, hexagonal axes)
Unique sites:
1 Np 0.0046 0.5023 0.0000 (multiplicity 9)
2 Tl 0.0000 0.0000 0.0587 (multiplicity 3)
3 Ag 0.0000 0.0000 0.5238 (multiplicity 3)
4 Ag 0.0000 0.0000 0.8802 (multiplicity 3)
5 S 0.0000 0.0000 0.2580 (multiplicity 3)
6 S 0.0000 0.0000 0.7400 (multiplicity 3)
7 S 0.0086 0.5043 0.2643 (multiplicity 9)
8 S 0.1954 0.3907 0.0814 (multiplicity 9)

Main lines, in order of rising 2θ (5 to 70 degrees two-theta):
2θ (°)  I_rel  (hkl)
14.67  72  0 0 3
25.33  100  0 2 1
26.75  61  2 0 2
31.84  78  0 2 4
36.86  35  1 1 6
43.74  61  2 2 0

***

Entry 6:
This entry pairs a crystal structure of LiSnBH6 with its computed powder X-ray diffraction pattern. Radiation: Cu Kα (weighted mean of Kα1 and Kα2). Structure: a DFT-relaxed cell (PBE, Alexandria).
Neutral-atom scattering factors, no anomalous dispersion.

Atomic structure:
a = 4.4492 Å, b = 4.9493 Å, c = 5.7764 Å
α = 72.59°, β = 89.91°, γ = 65.66°
Space group P1 (No. 1)
Unique sites:
1 Li 0.0000 0.0000 0.0000 (multiplicity 1)
2 Sn 0.6943 0.5177 0.3640 (multiplicity 1)
3 B 0.4965 0.9968 0.8557 (multiplicity 1)
4 H 0.2736 0.5950 0.2372 (multiplicity 1)
5 H 0.3173 0.9424 0.7355 (multiplicity 1)
6 H 0.3540 0.1476 0.9882 (multiplicity 1)
7 H 0.6307 0.1456 0.7184 (multiplicity 1)
8 H 0.7341 0.7391 0.9730 (multiplicity 1)
9 H 0.8609 0.1858 0.2488 (multiplicity 1)

Main lines, in order of rising 2θ (5 to 70 degrees two-theta):
2θ (°)  I_rel  (hkl)
16.24  100  0 0 1
20.85  55  0 1 0
21.86  89  0 1 1
22.15  69  1 0 0
22.97  60  1 1 0
25.96  44  1 1 1

***

Entry 7:
This entry pairs a crystal structure of Tl5Cd3Hg3 with its computed powder X-ray diffraction pattern. Radiation: Cu Kα (weighted mean of Kα1 and Kα2). Structure: a DFT-relaxed cell (PBE, Alexandria).
Neutral-atom scattering factors, no anomalous dispersion.

Atomic structure:
a = 10.4978 Å, b = 10.4978 Å, c = 3.4087 Å
α = 90.00°, β = 90.00°, γ = 120.00°
Space group P-62m (No. 189)
Unique sites:
1 Tl 0.0000 0.6849 0.0000 (multiplicity 3)
2 Tl 0.3333 0.6667 0.0000 (multiplicity 2)
3 Cd 0.0000 0.3977 0.0000 (multiplicity 3)
4 Hg 0.0000 0.1677 0.5000 (multiplicity 3)

Main lines, in order of rising 2θ (5 to 70 degrees two-theta):
2θ (°)  I_rel  (hkl)
25.93  34  2 1 0
27.95  53  1 0 1
29.47  56  3 0 0
35.61  47  3 1 0
37.15  47  2 1 1
39.80  100  3 0 1

***

Entry 8:
This entry pairs a crystal structure of Er3Al2Tl2 with its computed powder X-ray diffraction pattern. Radiation: Cu Kα (weighted mean of Kα1 and Kα2). Structure: a DFT-relaxed cell (PBE, Alexandria).
Neutral-atom scattering factors, no anomalous dispersion.

Atomic structure:
a = 4.3874 Å, b = 21.8646 Å, c = 3.5287 Å
α = 90.00°, β = 90.00°, γ = 90.00°
Space group Cmmm (No. 65)
Unique sites:
1 Er 0.0000 0.0000 0.0000 (multiplicity 2)
2 Er 0.0000 0.1641 0.0000 (multiplicity 4)
3 Al 0.0000 0.2820 0.5000 (multiplicity 4)
4 Tl 0.0000 0.4201 0.5000 (multiplicity 4)

Main lines, in order of rising 2θ (5 to 70 degrees two-theta):
2θ (°)  I_rel  (hkl)
8.09  33  0 2 0
28.83  48  1 5 0
32.83  100  1 1 1
35.27  52  1 7 0
35.41  68  0 6 1
55.39  38  2 6 1